1.
The following is a simulated powder diffraction line list of SiO2. It was derived from a GGA-PBE-relaxed structure, using a wavelength of 1.5418 Å.
Neutral-atom scattering factors, no anomalous dispersion.

Cell and atoms:
a = 13.9187 Å, b = 6.9598 Å, c = 6.4692 Å
α = 90.00°, β = 90.00°, γ = 90.00°
Sites, in units of the cell vectors:
Si 0.1153 0.0000 0.0006
Si 0.2500 0.0000 0.3816
Si 0.2500 0.2695 0.7625
Si 0.2500 0.7305 0.7625
Si 0.3847 0.0000 0.0006
Si 0.6153 0.0000 0.9994
Si 0.7500 0.0000 0.6184
Si 0.7500 0.2695 0.2375
Si 0.7500 0.7305 0.2375
Si 0.8847 0.0000 0.9994
O 0.0000 0.0000 0.0000
O 0.1536 0.0000 0.2388
O 0.1538 0.1925 0.8817
O 0.1538 0.8075 0.8817
O 0.2500 0.1926 0.5245
O 0.2500 0.5000 0.7616
O 0.2500 0.8074 0.5245
O 0.3464 0.0000 0.2388
O 0.3462 0.1925 0.8817
O 0.3462 0.8075 0.8817
O 0.5000 0.0000 0.0000
O 0.6536 0.0000 0.7612
O 0.6538 0.1925 0.1183
O 0.6538 0.8075 0.1183
O 0.7500 0.1926 0.4755
O 0.7500 0.5000 0.2384
O 0.7500 0.8074 0.4755
O 0.8464 0.0000 0.7612
O 0.8462 0.1925 0.1183
O 0.8462 0.8075 0.1183

The 8 most intense peaks (10 to 80 degrees two-theta), low angle first:
d = 6.960 Å, 12.72°, I 100
d = 6.469 Å, 13.69°, I 12
d = 5.867 Å, 15.10°, I 15
d = 4.738 Å, 18.73°, I 12
d = 4.486 Å, 19.79°, I 10
d = 3.065 Å, 29.14°, I 10
d = 2.993 Å, 29.85°, I 14
d = 2.805 Å, 31.91°, I 7

2.
The following is a simulated powder diffraction line list of MgTi2. It was derived from a GGA-PBE-relaxed structure, using a wavelength of 1.5418 Å.
Neutral-atom scattering factors, no anomalous dispersion.

Cell and atoms:
a = 5.6143 Å, b = 5.6143 Å, c = 7.4359 Å
α = 105.09°, β = 105.09°, γ = 29.94°
Sites, in units of the cell vectors:
Mg 0.1346 0.1346 0.0219
Mg 0.8654 0.8654 0.9781
Ti 0.1930 0.1930 0.6285
Ti 0.4627 0.4627 0.6635
Ti 0.5373 0.5373 0.3365
Ti 0.8070 0.8070 0.3715

The 8 most intense peaks (10 to 80 degrees two-theta), low angle first:
d = 7.161 Å, 12.36°, I 100
d = 2.542 Å, 35.31°, I 64
d = 2.447 Å, 36.73°, I 88
d = 2.387 Å, 37.68°, I 64
d = 2.284 Å, 39.45°, I 92
d = 2.265 Å, 39.80°, I 58
d = 2.229 Å, 40.48°, I 90
d = 1.505 Å, 61.64°, I 26

3.
The following is a simulated powder diffraction line list of EuAsO4. It was derived from a GGA-PBE-relaxed structure, using a wavelength of 1.5418 Å.
Neutral-atom scattering factors, no anomalous dispersion.

Cell and atoms:
a = 6.1203 Å, b = 6.1203 Å, c = 6.1203 Å
α = 106.48°, β = 106.48°, γ = 115.63°
Sites, in units of the cell vectors:
Eu 0.3750 0.6250 0.7500
Eu 0.6250 0.3750 0.2500
As 0.1250 0.8750 0.2500
As 0.8750 0.1250 0.7500
O 0.1341 0.7046 0.4295
O 0.2249 0.2954 0.9295
O 0.2954 0.2249 0.4295
O 0.2954 0.8659 0.0705
O 0.7046 0.1341 0.9295
O 0.7046 0.7751 0.5705
O 0.7751 0.7046 0.0705
O 0.8659 0.2954 0.5705

The 8 most intense peaks (10 to 80 degrees two-theta), low angle first:
d = 4.870 Å, 18.22°, I 14
d = 3.663 Å, 24.30°, I 100
d = 2.759 Å, 32.45°, I 74
d = 2.590 Å, 34.63°, I 24
d = 1.888 Å, 48.19°, I 61
d = 1.831 Å, 49.79°, I 15
d = 1.526 Å, 60.70°, I 18
d = 1.315 Å, 71.81°, I 15

4.
The following is a simulated powder diffraction line list of Pr2CoSn4. It was derived from a GGA-PBE-relaxed structure, using a wavelength of 1.5418 Å.
Neutral-atom scattering factors, no anomalous dispersion.

Cell and atoms:
a = 4.5778 Å, b = 8.8289 Å, c = 8.8289 Å
α = 30.19°, β = 90.00°, γ = 90.00°
Sites, in units of the cell vectors:
Pr 0.0000 0.0000 0.0000
Pr 0.5000 0.2027 0.2027
Co 0.0000 0.7984 0.7984
Sn 0.0000 0.3598 0.3598
Sn 0.0000 0.6528 0.6528
Sn 0.5000 0.5363 0.5363
Sn 0.5000 0.8567 0.8567

The 8 most intense peaks (10 to 80 degrees two-theta), low angle first:
d = 2.841 Å, 31.49°, I 17
d = 2.818 Å, 31.76°, I 100
d = 2.414 Å, 37.24°, I 12
d = 2.299 Å, 39.18°, I 21
d = 2.289 Å, 39.37°, I 20
d = 1.622 Å, 56.75°, I 14
d = 1.408 Å, 66.37°, I 21
d = 1.403 Å, 66.64°, I 12

5.
The following is a simulated powder diffraction line list of Nd2TlAg. It was derived from a GGA-PBE-relaxed structure, using a wavelength of 1.5418 Å.
Neutral-atom scattering factors, no anomalous dispersion.

Cell and atoms:
a = 5.4431 Å, b = 5.4431 Å, c = 5.4431 Å
α = 60.00°, β = 60.00°, γ = 60.00°
Sites, in units of the cell vectors:
Nd 0.2500 0.2500 0.2500
Nd 0.7500 0.7500 0.7500
Tl 0.0000 0.0000 0.0000
Ag 0.5000 0.5000 0.5000

The 8 most intense peaks (10 to 80 degrees two-theta), low angle first:
d = 4.444 Å, 19.98°, I 4
d = 2.722 Å, 32.91°, I 100
d = 2.321 Å, 38.80°, I 3
d = 1.924 Å, 47.23°, I 18
d = 1.766 Å, 51.77°, I 1
d = 1.571 Å, 58.76°, I 38
d = 1.361 Å, 69.02°, I 12
d = 1.217 Å, 78.60°, I 16

6.
The following is a simulated powder diffraction line list of Ba6Y2Ti4O17. It was derived from a GGA-PBE-relaxed structure, using a wavelength of 1.5418 Å.
Neutral-atom scattering factors, no anomalous dispersion.

Cell and atoms:
a = 6.0023 Å, b = 6.0023 Å, c = 30.0197 Å
α = 90.00°, β = 90.00°, γ = 120.00°
Sites, in units of the cell vectors:
Ba 0.0000 0.0000 0.0000
Ba 0.0000 0.0000 0.2500
Ba 0.0000 0.0000 0.5000
Ba 0.0000 0.0000 0.7500
Ba 0.3333 0.6667 0.0896
Ba 0.3333 0.6667 0.4104
Ba 0.3333 0.6667 0.6845
Ba 0.3333 0.6667 0.8155
Ba 0.6667 0.3333 0.1845
Ba 0.6667 0.3333 0.3155
Ba 0.6667 0.3333 0.5896
Ba 0.6667 0.3333 0.9104
Y 0.0000 0.0000 0.1269
Y 0.0000 0.0000 0.3731
Y 0.0000 0.0000 0.6269
Y 0.0000 0.0000 0.8731
Ti 0.3333 0.6667 0.2038
Ti 0.3333 0.6667 0.2962
Ti 0.3333 0.6667 0.5547
Ti 0.3333 0.6667 0.9453
Ti 0.6667 0.3333 0.0547
Ti 0.6667 0.3333 0.4453
Ti 0.6667 0.3333 0.7038
Ti 0.6667 0.3333 0.7962
O 0.0368 0.5184 0.2500
O 0.1682 0.3363 0.5774
O 0.1682 0.3363 0.9226
O 0.1682 0.8318 0.5774
O 0.1682 0.8318 0.9226
O 0.1758 0.3516 0.1697
O 0.1758 0.3516 0.3303
O 0.1758 0.8242 0.1697
O 0.1758 0.8242 0.3303
O 0.3333 0.6667 0.0044
O 0.3333 0.6667 0.4956
O 0.3363 0.1682 0.0774
O 0.3363 0.1682 0.4226
O 0.3516 0.1758 0.6697
O 0.3516 0.1758 0.8303
O 0.4816 0.5184 0.2500
O 0.4816 0.9632 0.2500
O 0.5184 0.0368 0.7500
O 0.5184 0.4816 0.7500
O 0.6484 0.8242 0.1697
O 0.6484 0.8242 0.3303
O 0.6637 0.8318 0.5774
O 0.6637 0.8318 0.9226
O 0.6667 0.3333 0.5044
O 0.6667 0.3333 0.9956
O 0.8242 0.1758 0.6697
O 0.8242 0.1758 0.8303
O 0.8242 0.6484 0.6697
O 0.8242 0.6484 0.8303
O 0.8318 0.1682 0.0774
O 0.8318 0.1682 0.4226
O 0.8318 0.6637 0.0774
O 0.8318 0.6637 0.4226
O 0.9632 0.4816 0.7500

The 8 most intense peaks (10 to 80 degrees two-theta), low angle first:
d = 3.308 Å, 26.95°, I 27
d = 3.043 Å, 29.36°, I 64
d = 3.001 Å, 29.77°, I 100
d = 2.223 Å, 40.59°, I 16
d = 2.137 Å, 42.30°, I 35
d = 1.741 Å, 52.58°, I 24
d = 1.733 Å, 52.84°, I 19
d = 1.501 Å, 61.83°, I 21

7.
The following is a simulated powder diffraction line list of NdHg3. It was derived from a GGA-PBE-relaxed structure, using a wavelength of 1.5418 Å.
Neutral-atom scattering factors, no anomalous dispersion.

Cell and atoms:
a = 6.7857 Å, b = 6.7857 Å, c = 5.1082 Å
α = 90.00°, β = 90.00°, γ = 120.00°
Sites, in units of the cell vectors:
Nd 0.3333 0.6667 0.2500
Nd 0.6667 0.3333 0.7500
Hg 0.1641 0.3282 0.7500
Hg 0.1641 0.8359 0.7500
Hg 0.3282 0.1641 0.2500
Hg 0.6718 0.8359 0.7500
Hg 0.8359 0.1641 0.2500
Hg 0.8359 0.6718 0.2500

The 8 most intense peaks (10 to 80 degrees two-theta), low angle first:
d = 2.938 Å, 30.42°, I 24
d = 2.554 Å, 35.14°, I 22
d = 2.547 Å, 35.24°, I 100
d = 1.928 Å, 47.15°, I 15
d = 1.696 Å, 54.06°, I 20
d = 1.473 Å, 63.10°, I 19
d = 1.413 Å, 66.15°, I 38
d = 1.274 Å, 74.51°, I 4